Record 1
This entry pairs a crystal structure of TaGe2Ru4 with its calculated X-ray powder pattern. Radiation: Cu Kα X-rays. Structure: a PBE-relaxed structure.
Kinematic intensities with the Lorentz-polarization factor, no thermal factor.

Structural model:
```
data_TaGe2Ru4
_chemical_formula_sum 'Ta1 Ge2 Ru4'
_space_group_name_H-M_alt 'P 1'
_space_group_IT_number 1
_cell_length_a 6.3325
_cell_length_b 5.4103
_cell_length_c 5.0030
_cell_angle_alpha 74.79
_cell_angle_beta 55.53
_cell_angle_gamma 49.67
loop_
_space_group_symop_operation_xyz
'x,y,z'
loop_
_atom_site_label
_atom_site_fract_x
_atom_site_fract_y
_atom_site_fract_z
_atom_site_occupancy
Ta1 0.0000 0.0000 0.0000 1
Ge1 0.3065 0.3065 0.6935 1
Ge2 0.6935 0.6935 0.3065 1
Ru1 0.2500 0.2500 0.2500 1
Ru2 0.3066 0.6934 0.3066 1
Ru3 0.6934 0.3066 0.6934 1
Ru4 0.7500 0.7500 0.7500 1
```

Principal peaks in the range 10 to 90 degrees two-theta, in order of rising 2θ:
2θ 34.82, I = 53; 2θ 37.29, I = 73; 2θ 38.23, I = 68; 2θ 38.83, I = 79; 2θ 39.98, I = 46; 2θ 42.71, I = 43; 2θ 44.55, I = 41; 2θ 46.50, I = 100; 2θ 69.30, I = 30; 2θ 69.51, I = 36



Record 2
This entry pairs a crystal structure of Tb2Ge4Ru3 with its calculated X-ray powder pattern. Radiation: Cu Kα X-rays. Structure: a PBE-relaxed structure.
Kinematic intensities with the Lorentz-polarization factor, no thermal factor.

Structural model:
```
data_Tb2Ge4Ru3
_chemical_formula_sum 'Tb2 Ge4 Ru3'
_space_group_name_H-M_alt 'P 1'
_space_group_IT_number 1
_cell_length_a 7.8718
_cell_length_b 6.8085
_cell_length_c 5.5762
_cell_angle_alpha 78.23
_cell_angle_beta 57.86
_cell_angle_gamma 43.91
loop_
_space_group_symop_operation_xyz
'x,y,z'
loop_
_atom_site_label
_atom_site_fract_x
_atom_site_fract_y
_atom_site_fract_z
_atom_site_occupancy
Tb1 0.1318 0.1318 0.8682 1
Tb2 0.8682 0.8682 0.1318 1
Ge1 0.1736 0.5136 0.4864 1
Ge2 0.4864 0.8264 0.1736 1
Ge3 0.5136 0.1736 0.8264 1
Ge4 0.8264 0.4864 0.5136 1
Ru1 0.0000 0.0000 0.5000 1
Ru2 0.5000 0.5000 0.0000 1
Ru3 0.5000 0.5000 0.5000 1
```

Principal peaks in the range 10 to 90 degrees two-theta, in order of rising 2θ:
2θ 14.25, I = 21; 2θ 28.40, I = 24; 2θ 32.17, I = 26; 2θ 32.92, I = 29; 2θ 37.26, I = 45; 2θ 38.94, I = 100; 2θ 40.09, I = 38; 2θ 43.68, I = 53; 2θ 61.93, I = 36; 2θ 72.34, I = 21



Record 3
This entry pairs a crystal structure of Tb4Ge6Ru7 with its calculated X-ray powder pattern. Radiation: Cu Kα X-rays. Structure: a PBE-relaxed structure.
Kinematic intensities with the Lorentz-polarization factor, no thermal factor.

Structural model:
```
data_Tb4Ge6Ru7
_chemical_formula_sum 'Tb4 Ge6 Ru7'
_space_group_name_H-M_alt 'P 1'
_space_group_IT_number 1
_cell_length_a 7.2669
_cell_length_b 7.2669
_cell_length_c 7.2669
_cell_angle_alpha 109.47
_cell_angle_beta 109.47
_cell_angle_gamma 109.47
loop_
_space_group_symop_operation_xyz
'x,y,z'
loop_
_atom_site_label
_atom_site_fract_x
_atom_site_fract_y
_atom_site_fract_z
_atom_site_occupancy
Tb1 0.0000 0.0000 0.5000 1
Tb2 0.0000 0.5000 0.0000 1
Tb3 0.5000 0.0000 0.0000 1
Tb4 0.5000 0.5000 0.5000 1
Ge1 0.0000 0.3168 0.3168 1
Ge2 0.0000 0.6832 0.6832 1
Ge3 0.3168 0.0000 0.3168 1
Ge4 0.3168 0.3168 0.0000 1
Ge5 0.6832 0.0000 0.6832 1
Ge6 0.6832 0.6832 0.0000 1
Ru1 0.0000 0.0000 0.0000 1
Ru2 0.2500 0.5000 0.7500 1
Ru3 0.2500 0.7500 0.5000 1
Ru4 0.5000 0.2500 0.7500 1
Ru5 0.5000 0.7500 0.2500 1
Ru6 0.7500 0.2500 0.5000 1
Ru7 0.7500 0.5000 0.2500 1
```

Principal peaks in the range 10 to 90 degrees two-theta, in order of rising 2θ:
2θ 30.12, I = 28; 2θ 37.12, I = 100; 2θ 40.21, I = 19; 2θ 43.12, I = 63; 2θ 45.88, I = 9; 2θ 51.05, I = 14; 2θ 62.63, I = 33; 2θ 71.05, I = 10; 2θ 75.09, I = 27; 2θ 79.06, I = 9



Record 4
This entry pairs a crystal structure of Tb3Ge2Ru with its calculated X-ray powder pattern. Radiation: Cu Kα X-rays. Structure: a PBE-relaxed structure.
Kinematic intensities with the Lorentz-polarization factor, no thermal factor.

Structural model:
```
data_Tb3Ge2Ru
_chemical_formula_sum 'Tb12 Ge8 Ru4'
_space_group_name_H-M_alt 'P 1'
_space_group_IT_number 1
_cell_length_a 11.8163
_cell_length_b 4.2012
_cell_length_c 11.2739
_cell_angle_alpha 90.00
_cell_angle_beta 90.00
_cell_angle_gamma 90.00
loop_
_space_group_symop_operation_xyz
'x,y,z'
loop_
_atom_site_label
_atom_site_fract_x
_atom_site_fract_y
_atom_site_fract_z
_atom_site_occupancy
Tb1 0.0551 0.2500 0.1272 1
Tb2 0.1215 0.7500 0.5541 1
Tb3 0.2247 0.2500 0.7959 1
Tb4 0.2753 0.7500 0.2959 1
Tb5 0.3785 0.2500 0.0541 1
Tb6 0.4449 0.7500 0.6272 1
Tb7 0.5551 0.2500 0.3728 1
Tb8 0.6215 0.7500 0.9459 1
Tb9 0.7247 0.2500 0.7041 1
Tb10 0.7753 0.7500 0.2041 1
Tb11 0.8785 0.2500 0.4459 1
Tb12 0.9449 0.7500 0.8728 1
Ge1 0.0102 0.7500 0.3112 1
Ge2 0.1899 0.7500 0.9978 1
Ge3 0.3101 0.2500 0.4978 1
Ge4 0.4898 0.2500 0.8112 1
Ge5 0.5102 0.7500 0.1888 1
Ge6 0.6899 0.7500 0.5022 1
Ge7 0.8101 0.2500 0.0022 1
Ge8 0.9898 0.2500 0.6888 1
Ru1 0.1301 0.2500 0.3678 1
Ru2 0.3699 0.7500 0.8678 1
Ru3 0.6301 0.2500 0.1322 1
Ru4 0.8699 0.7500 0.6322 1
```

Principal peaks in the range 10 to 90 degrees two-theta, in order of rising 2θ:
2θ 27.22, I = 39; 2θ 27.62, I = 37; 2θ 30.55, I = 57; 2θ 31.95, I = 100; 2θ 32.66, I = 33; 2θ 34.27, I = 31; 2θ 35.05, I = 80; 2θ 38.09, I = 57; 2θ 41.49, I = 39; 2θ 43.06, I = 60



Record 5
This entry pairs a crystal structure of TbTcGe3Ru with its calculated X-ray powder pattern. Radiation: Cu Kα X-rays. Structure: a PBE-relaxed structure.
Kinematic intensities with the Lorentz-polarization factor, no thermal factor.

Structural model:
```
data_TbTcGe3Ru
_chemical_formula_sum 'Tb2 Tc2 Ge6 Ru2'
_space_group_name_H-M_alt 'P 1'
_space_group_IT_number 1
_cell_length_a 6.8251
_cell_length_b 6.8251
_cell_length_c 5.6857
_cell_angle_alpha 90.00
_cell_angle_beta 90.00
_cell_angle_gamma 108.80
loop_
_space_group_symop_operation_xyz
'x,y,z'
loop_
_atom_site_label
_atom_site_fract_x
_atom_site_fract_y
_atom_site_fract_z
_atom_site_occupancy
Tb1 0.2406 0.7594 0.7500 1
Tb2 0.7594 0.2406 0.2500 1
Tc1 0.4531 0.5469 0.2500 1
Tc2 0.5469 0.4531 0.7500 1
Ge1 0.2462 0.7538 0.2500 1
Ge2 0.2500 0.2500 0.0000 1
Ge3 0.2500 0.2500 0.5000 1
Ge4 0.7500 0.7500 0.0000 1
Ge5 0.7500 0.7500 0.5000 1
Ge6 0.7538 0.2462 0.7500 1
Ru1 0.0389 0.9611 0.2500 1
Ru2 0.9611 0.0389 0.7500 1
```

Principal peaks in the range 10 to 90 degrees two-theta, in order of rising 2θ:
2θ 22.38, I = 51; 2θ 27.61, I = 31; 2θ 30.96, I = 56; 2θ 31.47, I = 21; 2θ 32.26, I = 55; 2θ 38.96, I = 100; 2θ 45.01, I = 20; 2θ 45.67, I = 37; 2θ 51.45, I = 58; 2θ 57.02, I = 21



Record 6
This entry pairs a crystal structure of ThGe4Ru4 with its calculated X-ray powder pattern. Radiation: Cu Kα X-rays. Structure: a PBE-relaxed structure.
Kinematic intensities with the Lorentz-polarization factor, no thermal factor.

Structural model:
```
data_ThGe4Ru4
_chemical_formula_sum 'Th2 Ge8 Ru8'
_space_group_name_H-M_alt 'P 1'
_space_group_IT_number 1
_cell_length_a 6.0936
_cell_length_b 6.0936
_cell_length_c 8.3099
_cell_angle_alpha 90.00
_cell_angle_beta 90.00
_cell_angle_gamma 90.00
loop_
_space_group_symop_operation_xyz
'x,y,z'
loop_
_atom_site_label
_atom_site_fract_x
_atom_site_fract_y
_atom_site_fract_z
_atom_site_occupancy
Th1 0.2500 0.7500 0.2500 1
Th2 0.7500 0.2500 0.7500 1
Ge1 0.0441 0.2500 0.0707 1
Ge2 0.2500 0.0441 0.5707 1
Ge3 0.2500 0.4559 0.5707 1
Ge4 0.4559 0.2500 0.0707 1
Ge5 0.5441 0.7500 0.9293 1
Ge6 0.7500 0.5441 0.4293 1
Ge7 0.7500 0.9559 0.4293 1
Ge8 0.9559 0.7500 0.9293 1
Ru1 0.0151 0.2500 0.3684 1
Ru2 0.2500 0.0151 0.8684 1
Ru3 0.2500 0.4849 0.8684 1
Ru4 0.4849 0.2500 0.3684 1
Ru5 0.5151 0.7500 0.6316 1
Ru6 0.7500 0.5151 0.1316 1
Ru7 0.7500 0.9849 0.1316 1
Ru8 0.9849 0.7500 0.6316 1
```

Principal peaks in the range 10 to 90 degrees two-theta, in order of rising 2θ:
2θ 29.87, I = 26; 2θ 34.64, I = 100; 2θ 35.60, I = 43; 2θ 41.93, I = 13; 2θ 44.19, I = 18; 2θ 47.54, I = 12; 2θ 55.48, I = 14; 2θ 56.15, I = 24; 2θ 60.80, I = 16; 2θ 62.06, I = 20



Record 7
This entry pairs a crystal structure of Th2Ge3Ru5 with its calculated X-ray powder pattern. Radiation: Cu Kα X-rays. Structure: a PBE-relaxed structure.
Kinematic intensities with the Lorentz-polarization factor, no thermal factor.

Structural model:
```
data_Th2Ge3Ru5
_chemical_formula_sum 'Th4 Ge6 Ru10'
_space_group_name_H-M_alt 'P 1'
_space_group_IT_number 1
_cell_length_a 12.8356
_cell_length_b 12.8356
_cell_length_c 6.5776
_cell_angle_alpha 90.00
_cell_angle_beta 90.00
_cell_angle_gamma 160.91
loop_
_space_group_symop_operation_xyz
'x,y,z'
loop_
_atom_site_label
_atom_site_fract_x
_atom_site_fract_y
_atom_site_fract_z
_atom_site_occupancy
Th1 0.0125 0.9875 0.5000 1
Th2 0.3249 0.6751 0.4862 1
Th3 0.6751 0.3249 0.9862 1
Th4 0.9875 0.0125 0.0000 1
Ge1 0.1125 0.8875 0.7311 1
Ge2 0.2724 0.7276 0.9797 1
Ge3 0.4429 0.5571 0.7172 1
Ge4 0.5571 0.4429 0.2172 1
Ge5 0.7276 0.2724 0.4797 1
Ge6 0.8875 0.1125 0.2311 1
Ru1 0.1044 0.8956 0.1477 1
Ru2 0.2066 0.7934 0.2729 1
Ru3 0.2093 0.7907 0.6807 1
Ru4 0.3694 0.6306 0.9828 1
Ru5 0.4435 0.5565 0.3305 1
Ru6 0.5565 0.4435 0.8305 1
Ru7 0.6306 0.3694 0.4828 1
Ru8 0.7907 0.2093 0.1807 1
Ru9 0.7934 0.2066 0.7729 1
Ru10 0.8956 0.1044 0.6477 1
```

Principal peaks in the range 10 to 90 degrees two-theta, in order of rising 2θ:
2θ 34.60, I = 31; 2θ 35.31, I = 51; 2θ 36.11, I = 100; 2θ 38.09, I = 25; 2θ 38.35, I = 38; 2θ 42.46, I = 37; 2θ 43.69, I = 14; 2θ 55.89, I = 18; 2θ 58.35, I = 15; 2θ 68.05, I = 20



Record 8
This entry pairs a crystal structure of Th4Ge8Ru with its calculated X-ray powder pattern. Radiation: Cu Kα X-rays. Structure: a PBE-relaxed structure.
Kinematic intensities with the Lorentz-polarization factor, no thermal factor.

Structural model:
```
data_Th4Ge8Ru
_chemical_formula_sum 'Th4 Ge8 Ru1'
_space_group_name_H-M_alt 'P 1'
_space_group_IT_number 1
_cell_length_a 4.1577
_cell_length_b 4.2297
_cell_length_c 16.7722
_cell_angle_alpha 90.00
_cell_angle_beta 90.00
_cell_angle_gamma 90.00
loop_
_space_group_symop_operation_xyz
'x,y,z'
loop_
_atom_site_label
_atom_site_fract_x
_atom_site_fract_y
_atom_site_fract_z
_atom_site_occupancy
Th1 0.0000 0.0000 0.0000 1
Th2 0.0000 0.5000 0.4939 1
Th3 0.5000 0.0000 0.7838 1
Th4 0.5000 0.5000 0.2828 1
Ge1 0.0000 0.0000 0.3378 1
Ge2 0.0000 0.0000 0.6272 1
Ge3 0.0000 0.5000 0.1416 1
Ge4 0.0000 0.5000 0.8485 1
Ge5 0.5000 0.0000 0.1418 1
Ge6 0.5000 0.0000 0.4383 1
Ge7 0.5000 0.5000 0.6261 1
Ge8 0.5000 0.5000 0.9428 1
Ru1 0.0000 0.5000 0.7037 1
```

Principal peaks in the range 10 to 90 degrees two-theta, in order of rising 2θ:
2θ 23.89, I = 28; 2θ 30.62, I = 15; 2θ 32.02, I = 13; 2θ 34.11, I = 28; 2θ 34.23, I = 100; 2θ 38.82, I = 23; 2θ 42.76, I = 20; 2θ 43.54, I = 19; 2θ 56.44, I = 14; 2θ 59.11, I = 14



Record 9
This entry pairs a crystal structure of Ti4Ge4Ru with its calculated X-ray powder pattern. Radiation: Cu Kα X-rays. Structure: a PBE-relaxed structure.
Kinematic intensities with the Lorentz-polarization factor, no thermal factor.

Structural model:
```
data_Ti4Ge4Ru
_chemical_formula_sum 'Ti4 Ge4 Ru1'
_space_group_name_H-M_alt 'P 1'
_space_group_IT_number 1
_cell_length_a 6.1338
_cell_length_b 6.1338
_cell_length_c 6.1338
_cell_angle_alpha 100.00
_cell_angle_beta 100.00
_cell_angle_gamma 130.74
loop_
_space_group_symop_operation_xyz
'x,y,z'
loop_
_atom_site_label
_atom_site_fract_x
_atom_site_fract_y
_atom_site_fract_z
_atom_site_occupancy
Ti1 0.0978 0.7182 0.8160 1
Ti2 0.2818 0.0978 0.3796 1
Ti3 0.7182 0.9022 0.6204 1
Ti4 0.9022 0.2818 0.1840 1
Ge1 0.2009 0.4108 0.6117 1
Ge2 0.4108 0.7991 0.2099 1
Ge3 0.5892 0.2009 0.7901 1
Ge4 0.7991 0.5892 0.3883 1
Ru1 0.5000 0.5000 0.0000 1
```

Principal peaks in the range 10 to 90 degrees two-theta, in order of rising 2θ:
2θ 20.70, I = 38; 2θ 30.80, I = 14; 2θ 35.10, I = 55; 2θ 36.02, I = 100; 2θ 38.51, I = 15; 2θ 51.17, I = 70; 2θ 51.86, I = 32; 2θ 64.16, I = 33; 2θ 85.33, I = 15; 2θ 86.94, I = 13



Record 10
This entry pairs a crystal structure of Tm5Ge5Ru2 with its calculated X-ray powder pattern. Radiation: Cu Kα X-rays. Structure: a PBE-relaxed structure.
Kinematic intensities with the Lorentz-polarization factor, no thermal factor.

Structural model:
```
data_Tm5Ge5Ru2
_chemical_formula_sum 'Tm5 Ge5 Ru2'
_space_group_name_H-M_alt 'P 1'
_space_group_IT_number 1
_cell_length_a 7.7825
_cell_length_b 7.7825
_cell_length_c 10.5298
_cell_angle_alpha 128.89
_cell_angle_beta 128.89
_cell_angle_gamma 31.38
loop_
_space_group_symop_operation_xyz
'x,y,z'
loop_
_atom_site_label
_atom_site_fract_x
_atom_site_fract_y
_atom_site_fract_z
_atom_site_occupancy
Tm1 0.0000 0.0000 0.0000 1
Tm2 0.1174 0.1174 0.4201 1
Tm3 0.1917 0.1917 0.8221 1
Tm4 0.8083 0.8083 0.1779 1
Tm5 0.8826 0.8826 0.5799 1
Ge1 0.2533 0.2533 0.3034 1
Ge2 0.4400 0.4400 0.1548 1
Ge3 0.5000 0.5000 0.5000 1
Ge4 0.5600 0.5600 0.8452 1
Ge5 0.7467 0.7467 0.6966 1
Ru1 0.3540 0.3540 0.7483 1
Ru2 0.6460 0.6460 0.2517 1
```

Principal peaks in the range 10 to 90 degrees two-theta, in order of rising 2θ:
2θ 28.03, I = 26; 2θ 33.28, I = 100; 2θ 34.90, I = 48; 2θ 35.42, I = 50; 2θ 36.19, I = 28; 2θ 37.70, I = 20; 2θ 38.72, I = 32; 2θ 39.69, I = 71; 2θ 42.98, I = 45; 2θ 56.51, I = 24



Record 11
This entry pairs a crystal structure of TmGe3Ru with its calculated X-ray powder pattern. Radiation: Cu Kα X-rays. Structure: a PBE-relaxed structure.
Kinematic intensities with the Lorentz-polarization factor, no thermal factor.

Structural model:
```
data_TmGe3Ru
_chemical_formula_sum 'Tm2 Ge6 Ru2'
_space_group_name_H-M_alt 'P 1'
_space_group_IT_number 1
_cell_length_a 6.1183
_cell_length_b 5.6254
_cell_length_c 5.6824
_cell_angle_alpha 90.00
_cell_angle_beta 90.00
_cell_angle_gamma 90.00
loop_
_space_group_symop_operation_xyz
'x,y,z'
loop_
_atom_site_label
_atom_site_fract_x
_atom_site_fract_y
_atom_site_fract_z
_atom_site_occupancy
Tm1 0.0000 0.1406 0.0000 1
Tm2 0.5000 0.8594 0.5000 1
Ge1 0.0000 0.9127 0.5520 1
Ge2 0.2348 0.3227 0.4499 1
Ge3 0.2652 0.6773 0.9499 1
Ge4 0.5000 0.0873 0.0520 1
Ge5 0.7348 0.6773 0.9499 1
Ge6 0.7652 0.3227 0.4499 1
Ru1 0.0000 0.6165 0.2575 1
Ru2 0.5000 0.3835 0.7575 1
```

Principal peaks in the range 10 to 90 degrees two-theta, in order of rising 2θ:
2θ 21.34, I = 27; 2θ 26.64, I = 32; 2θ 31.49, I = 25; 2θ 35.11, I = 21; 2θ 35.39, I = 23; 2θ 35.62, I = 69; 2θ 37.00, I = 100; 2θ 38.42, I = 30; 2θ 46.51, I = 44; 2θ 46.69, I = 20



Record 12
This entry pairs a crystal structure of Tm4GeRu2 with its calculated X-ray powder pattern. Radiation: Cu Kα X-rays. Structure: a PBE-relaxed structure.
Kinematic intensities with the Lorentz-polarization factor, no thermal factor.

Structural model:
```
data_Tm4GeRu2
_chemical_formula_sum 'Tm8 Ge2 Ru4'
_space_group_name_H-M_alt 'P 1'
_space_group_IT_number 1
_cell_length_a 6.5236
_cell_length_b 6.5236
_cell_length_c 8.9941
_cell_angle_alpha 114.08
_cell_angle_beta 114.08
_cell_angle_gamma 82.69
loop_
_space_group_symop_operation_xyz
'x,y,z'
loop_
_atom_site_label
_atom_site_fract_x
_atom_site_fract_y
_atom_site_fract_z
_atom_site_occupancy
Tm1 0.0633 0.0633 0.3506 1
Tm2 0.3102 0.5032 0.7432 1
Tm3 0.4968 0.6898 0.2568 1
Tm4 0.4986 0.1945 0.2642 1
Tm5 0.5441 0.0180 0.8176 1
Tm6 0.8055 0.5014 0.7358 1
Tm7 0.9367 0.9367 0.6494 1
Tm8 0.9820 0.4559 0.1824 1
Ge1 0.2177 0.2927 0.9524 1
Ge2 0.7073 0.7823 0.0476 1
Ru1 0.0140 0.9860 0.0000 1
Ru2 0.3823 0.6177 0.5000 1
Ru3 0.5052 0.1114 0.5404 1
Ru4 0.8886 0.4948 0.4596 1
```

Principal peaks in the range 10 to 90 degrees two-theta, in order of rising 2θ:
2θ 29.87, I = 61; 2θ 30.05, I = 80; 2θ 32.72, I = 28; 2θ 33.03, I = 83; 2θ 34.36, I = 100; 2θ 36.58, I = 87; 2θ 37.18, I = 31; 2θ 41.55, I = 30; 2θ 42.07, I = 25; 2θ 44.24, I = 59